The following is a simulated powder diffractogram of Mg6FeSiO8. It was derived from the GGA+U geometry in Alexandria, using CuKα.
No peak broadening, texture or thermal motion is included.

Structure:
Cell: 4.3424 4.3424 8.6335 Å, 90.00 90.00 90.00°
Sites, in units of the cell vectors:
Mg: 0.0000 0.0000 0.0000
Mg: 0.0000 0.5000 0.2473
Mg: 0.0000 0.5000 0.7527
Mg: 0.5000 0.0000 0.2473
Mg: 0.5000 0.0000 0.7527
Mg: 0.5000 0.5000 0.0000
Fe: 0.0000 0.0000 0.5000
Si: 0.5000 0.5000 0.5000
O: 0.0000 0.0000 0.2484
O: 0.0000 0.0000 0.7516
O: 0.0000 0.5000 0.0000
O: 0.0000 0.5000 0.5000
O: 0.5000 0.0000 0.0000
O: 0.5000 0.0000 0.5000
O: 0.5000 0.5000 0.2376
O: 0.5000 0.5000 0.7624

The 12 most intense peaks (5 to 70 degrees two-theta), in order of rising 2θ:
two_theta	d (Å)	I (rel.)
10.25	8.633	120
20.45	4.342	42
20.58	4.317	34
22.92	3.879	76
29.13	3.065	62
30.91	2.893	43
35.89	2.502	272
41.59	2.171	1000
41.85	2.158	485
46.81	1.941	23
60.28	1.535	285
60.48	1.531	559